Li2Zn6Ga: calculated powder XRD pattern (a wavelength of 1.5418 Å), based on a PBE-relaxed structure.

Structural model:
```
9
Lattice="4.2275 -2.0075 0.0000 4.2275 2.0075 0.0000 -2.3790 0.0000 7.9760" Properties=species:S:1:pos:R:3 pbc="T T T"
Li 0.8927 0.0000 1.7563
Li 5.1833 0.0000 6.2196
Zn -0.7092 0.0000 7.0404
Zn 0.0715 0.0000 4.4728
Zn 2.5939 0.0000 5.2755
Zn 3.4821 0.0000 2.7005
Zn 6.0045 0.0000 3.5031
Zn 6.7852 0.0000 0.9356
Ga 4.2275 0.0000 0.0000
```

Peak list (10 most intense, 5° ≤ 2θ ≤ 70°, by intensity)
2θ (°)  d (Å)  I_rel
39.51  2.281  100
40.24  2.241  95
45.17  2.007  34
45.87  1.978  32
48.06  1.893  28
25.84  3.447  22
66.33  1.409  21
68.08  1.377  18
28.48  3.134  12
22.29  3.988  12